(1)
Diffraction record for NbAg7S6. The powder diffractogram is simulated, not measured: it uses a GGA-PBE-relaxed structure and CuKα.
Neutral-atom scattering factors, no anomalous dispersion.

Main lines, low angle first (10 to 80 degrees two-theta):
2theta, I/Imax, h k l
16.52, 100, 1 1 -1
29.45, 57, 1 1 2
31.30, 42, 1 2 -3
33.39, 50, 2 2 -2
36.90, 70, 1 1 -5
44.06, 44, 0 3 3

Structural model:
a b c (Å): 7.7361 7.4531 13.3538
angles (deg): 90.00 124.77 90.00
Space group Pc (No. 7)
Asymmetric unit:
Nb (0.0000, 0.2442, 0.0000) x2
Ag (0.0991, 0.1206, 0.4067) x2
Ag (0.3011, 0.4868, 0.4867) x2
Ag (0.3045, 0.2165, 0.2784) x2
Ag (0.4738, 0.0429, 0.1480) x2
Ag (0.6910, 0.3194, 0.7294) x2
Ag (0.7122, 0.4150, 0.4512) x2
Ag (0.9087, 0.3992, 0.1914) x2
S (0.1011, 0.2451, 0.8640) x2
S (0.1124, 0.0226, 0.6111) x2
S (0.1422, 0.4984, 0.1286) x2
S (0.5041, 0.2145, 0.5094) x2
S (0.6381, 0.2424, 0.8952) x2
S (0.7416, 0.2677, 0.2807) x2

***

(2)
Diffraction record for CaMg6Nb. The powder diffractogram is simulated, not measured: it uses a GGA-PBE-relaxed structure and CuKα.
Neutral-atom scattering factors, no anomalous dispersion.

Main lines, low angle first (10 to 80 degrees two-theta):
2theta, I/Imax, h k l
13.91, 24, 1 0 0
19.73, 20, 1 1 0
34.34, 100, 2 0 1
40.07, 31, 2 2 0
57.50, 21, 2 2 2
69.13, 21, 4 2 1

Structural model:
a b c (Å): 6.3648 6.3648 4.5675
angles (deg): 90.00 90.00 90.00
Space group P4/mmm (No. 123)
Asymmetric unit:
Ca (0.0000, 0.0000, 0.0000) x1
Mg (0.0000, 0.5000, 0.0000) x2
Mg (0.2711, 0.2711, 0.5000) x4
Nb (0.5000, 0.5000, 0.0000) x1

***

(3)
Diffraction record for Li2AlAgF6. The powder diffractogram is simulated, not measured: it uses a GGA-PBE-relaxed structure and CuKα.
Neutral-atom scattering factors, no anomalous dispersion.

Main lines, low angle first (10 to 80 degrees two-theta):
2theta, I/Imax, h k l
21.31, 100, 2 0 0
30.32, 36, 2 2 0
35.72, 29, 3 1 1
43.41, 31, 4 0 0
47.54, 21, 3 3 1
48.85, 34, 4 2 0

Structural model:
a b c (Å): 8.3377 8.3377 8.3377
angles (deg): 90.00 90.00 90.00
Space group Fm-3m (No. 225)
Asymmetric unit:
Li (0.2500, 0.2500, 0.2500) x8
Al (0.0000, 0.0000, 0.0000) x4
Ag (0.0000, 0.0000, 0.5000) x4
F (0.0000, 0.0000, 0.2177) x24

***

(4)
Diffraction record for KBaO3. The powder diffractogram is simulated, not measured: it uses a GGA-PBE-relaxed structure and CuKα.
Neutral-atom scattering factors, no anomalous dispersion.

Main lines, low angle first (10 to 80 degrees two-theta):
2theta, I/Imax, h k l
17.69, 55, 1 0 0
25.12, 100, 1 1 0
35.82, 40, 2 0 0
40.22, 27, 2 1 0
44.25, 43, 2 1 1
51.56, 26, 2 2 0

Structural model:
a b c (Å): 5.0137 5.0137 5.0137
angles (deg): 90.00 90.00 90.00
Space group Pm-3m (No. 221)
Asymmetric unit:
K (0.0000, 0.0000, 0.0000) x1
Ba (0.5000, 0.5000, 0.5000) x1
O (0.0000, 0.5000, 0.5000) x3

***

(5)
Diffraction record for Tm2MgRu. The powder diffractogram is simulated, not measured: it uses a GGA-PBE-relaxed structure and CuKα.
Neutral-atom scattering factors, no anomalous dispersion.

Main lines, low angle first (10 to 80 degrees two-theta):
2theta, I/Imax, h k l
25.41, 24, 2 0 0
36.24, 100, 2 2 0
52.18, 18, 4 0 0
58.90, 10, 4 2 0
65.18, 36, 4 2 2
76.92, 11, 4 4 0

Structural model:
a b c (Å): 7.0118 7.0118 7.0118
angles (deg): 90.00 90.00 90.00
Space group Fm-3m (No. 225)
Asymmetric unit:
Tm (0.2500, 0.2500, 0.2500) x8
Mg (0.0000, 0.0000, 0.0000) x4
Ru (0.0000, 0.0000, 0.5000) x4

***

(6)
Diffraction record for ScNi5. The powder diffractogram is simulated, not measured: it uses a GGA-PBE-relaxed structure and CuKα.
Neutral-atom scattering factors, no anomalous dispersion.

Main lines, low angle first (10 to 80 degrees two-theta):
2theta, I/Imax, h k l
21.71, 44, 1 0 0
44.24, 27, 2 0 0
44.65, 100, 1 1 1
45.86, 37, 0 0 2
50.17, 57, 2 0 1
73.38, 20, 3 0 1

Structural model:
a b c (Å): 4.7278 4.7278 3.9577
angles (deg): 90.00 90.00 120.00
Space group P6/mmm (No. 191)
Asymmetric unit:
Sc (0.0000, 0.0000, 0.0000) x1
Ni (0.0000, 0.5000, 0.5000) x3
Ni (0.3333, 0.6667, 0.0000) x2

***

(7)
Diffraction record for MgSi. The powder diffractogram is simulated, not measured: it uses a GGA-PBE-relaxed structure and CuKα.
Neutral-atom scattering factors, no anomalous dispersion.

Main lines, low angle first (10 to 80 degrees two-theta):
2theta, I/Imax, h k l
34.05, 23, 0 4 1
34.38, 98, 1 3 1
37.66, 100, 1 1 2
41.64, 47, 2 0 0
43.46, 22, 0 4 2
43.78, 39, 1 5 0

Structural model:
a b c (Å): 4.3378 11.7599 5.9002
angles (deg): 90.00 90.00 90.00
Space group Cmcm (No. 63)
Asymmetric unit:
Mg (0.0000, 0.0579, 0.2500) x4
Mg (0.0000, 0.2158, 0.7500) x4
Si (0.0000, 0.4034, 0.0468) x8

***

(8)
Diffraction record for Mg14NbFe. The powder diffractogram is simulated, not measured: it uses a GGA-PBE-relaxed structure and CuKα.
Neutral-atom scattering factors, no anomalous dispersion.

Main lines, low angle first (10 to 80 degrees two-theta):
2theta, I/Imax, h k l
18.42, 20, 1 0 2
33.79, 37, 0 2 2
36.09, 40, 4 0 0
37.34, 63, 2 0 4
38.45, 100, 2 2 2
71.03, 27, 4 2 6

Structural model:
a b c (Å): 9.9550 6.0558 11.0080
angles (deg): 90.00 90.00 90.00
Space group Amm2 (No. 38)
Asymmetric unit:
Mg (0.0000, 0.0000, 0.0000) x2
Mg (0.0000, 0.0000, 0.4983) x2
Mg (0.0000, 0.2480, 0.2518) x4
Mg (0.2504, 0.0000, 0.6602) x4
Mg (0.2671, 0.2479, 0.9183) x8
Mg (0.2682, 0.0000, 0.1543) x4
Mg (0.5000, 0.2445, 0.7538) x4
Nb (0.5000, 0.0000, 0.5098) x2
Fe (0.5000, 0.0000, 0.0015) x2

***

(9)
Diffraction record for Nd2Co2SiC. The powder diffractogram is simulated, not measured: it uses a GGA-PBE-relaxed structure and CuKα.
Neutral-atom scattering factors, no anomalous dispersion.

Main lines, low angle first (10 to 80 degrees two-theta):
2theta, I/Imax, h k l
27.14, 100, 1 1 0
33.50, 71, 0 1 3
33.84, 67, 1 1 2
35.93, 47, 0 2 2
37.88, 70, 1 0 3
39.03, 50, 1 2 1

Structural model:
a b c (Å): 3.9200 6.0244 8.9554
angles (deg): 90.00 90.00 90.00
Space group Immm (No. 71)
Asymmetric unit:
Nd (0.0000, 0.0000, 0.1906) x4
Co (0.0000, 0.2059, 0.5000) x4
Si (0.0000, 0.5000, 0.0000) x2
C (0.0000, 0.5000, 0.5000) x2

***

What is the formula in the fourth record? KBaO3